1.
For Ba3Eu3Fe6O16, a cell relaxed with PBE+U gives the computed XRD peak list in this record (Cu Kα (λ = 1.5418 Å)).

Structure:
a b c (Å): 16.504 5.615 9.617
angles (deg): 90.00 124.48 90.00
Space group C2/m (No. 12)
Asymmetric unit:
Ba 0.000 0.000 0.000 (multiplicity 2)
Ba 0.166 0.500 0.341 (multiplicity 4)
Eu 0.000 0.500 0.500 (multiplicity 2)
Eu 0.159 0.000 0.815 (multiplicity 4)
Fe 0.078 0.000 0.420 (multiplicity 4)
Fe 0.085 0.500 0.920 (multiplicity 4)
Fe 0.245 0.000 0.251 (multiplicity 4)
O 0.000 0.000 0.500 (multiplicity 2)
O 0.000 0.500 0.000 (multiplicity 2)
O 0.015 0.257 0.742 (multiplicity 8)
O 0.158 0.256 0.597 (multiplicity 8)
O 0.160 0.000 0.328 (multiplicity 4)
O 0.185 0.249 0.066 (multiplicity 8)

The 6 most intense peaks (5 to 70 degrees two-theta), low angle first:
| 2theta | I_rel | h k l |
| --- | --- | --- |
| 31.90 | 91 | 0 2 0 |
| 32.16 | 100 | 3 1 -3 |
| 32.30 | 100 | 5 1 -1 |
| 39.57 | 35 | 4 2 -2 |
| 45.74 | 60 | 2 2 2 |
| 57.03 | 39 | 5 3 -1 |

=====

2.
For Ba5Eu5Fe10O26, a cell relaxed with PBE+U gives the computed XRD peak list in this record (Cu Kα (λ = 1.5418 Å)).

Structure:
a b c (Å): 8.772 8.933 8.934
angles (deg): 89.95 78.33 65.81
Space group P-1 (No. 2)
Asymmetric unit:
Ba 0.000 0.000 0.000 (multiplicity 1)
Ba 0.001 0.402 0.196 (multiplicity 2)
Ba 0.004 0.797 0.395 (multiplicity 2)
Eu 0.496 0.406 0.716 (multiplicity 2)
Eu 0.499 0.787 0.904 (multiplicity 2)
Eu 0.500 0.000 0.500 (multiplicity 1)
Fe 0.249 0.004 0.253 (multiplicity 2)
Fe 0.249 0.195 0.851 (multiplicity 2)
Fe 0.250 0.400 0.454 (multiplicity 2)
Fe 0.250 0.798 0.644 (multiplicity 2)
Fe 0.259 0.598 0.051 (multiplicity 2)
O 0.000 0.104 0.309 (multiplicity 2)
O 0.000 0.500 0.500 (multiplicity 1)
O 0.001 0.705 0.101 (multiplicity 2)
O 0.278 0.798 0.150 (multiplicity 2)
O 0.279 0.379 0.941 (multiplicity 2)
O 0.280 0.485 0.252 (multiplicity 2)
O 0.280 0.692 0.834 (multiplicity 2)
O 0.299 0.280 0.641 (multiplicity 2)
O 0.299 0.980 0.739 (multiplicity 2)
O 0.300 0.079 0.042 (multiplicity 2)
O 0.302 0.879 0.439 (multiplicity 2)
O 0.303 0.577 0.538 (multiplicity 2)
O 0.304 0.180 0.340 (multiplicity 2)
O 0.500 0.500 0.000 (multiplicity 1)

The 6 most intense peaks (5 to 70 degrees two-theta), low angle first:
| 2theta | I_rel | h k l |
| --- | --- | --- |
| 31.67 | 59 | 1 3 -1 |
| 32.05 | 100 | 3 2 1 |
| 32.12 | 33 | 2 -1 2 |
| 39.35 | 22 | 3 1 3 |
| 45.40 | 39 | 2 4 2 |
| 56.62 | 31 | 4 5 0 |

=====

3.
For BaEuFe4O12, a cell relaxed with PBE+U gives the computed XRD peak list in this record (Cu Kα (λ = 1.5418 Å)).

Structure:
a b c (Å): 5.474 5.474 7.717
angles (deg): 90.00 90.00 90.00
Space group P4/mmm (No. 123)
Asymmetric unit:
Ba 0.000 0.000 0.000 (multiplicity 1)
Eu 0.500 0.500 0.500 (multiplicity 1)
Fe 0.000 0.500 0.251 (multiplicity 4)
O 0.000 0.500 0.000 (multiplicity 2)
O 0.000 0.500 0.500 (multiplicity 2)
O 0.258 0.258 0.264 (multiplicity 8)

The 6 most intense peaks (5 to 70 degrees two-theta), low angle first:
| 2theta | I_rel | h k l |
| --- | --- | --- |
| 19.89 | 90 | 1 0 1 |
| 32.75 | 100 | 2 0 0 |
| 38.61 | 50 | 2 1 1 |
| 46.95 | 28 | 2 2 0 |
| 51.51 | 22 | 2 1 3 |
| 58.47 | 38 | 2 0 4 |